(1)
The following is a calculated powder XRD pattern of Li4V2Cr3Sb3O16. It was derived from a structure optimized by DFT (PBE+U), using λ = 1.5418 Å (Cu Kα).

Top 10 peaks for 10 to 90 degrees two-theta, sorted by position:
2θ (°), I (rel.)
18.23, 100
18.91, 40
19.13, 48
24.85, 18
34.33, 22
34.57, 23
34.88, 21
35.25, 30
38.81, 19
44.26, 36

Cell and atoms:
```
data_Li4V2Cr3Sb3O16
_cell_length_a 6.078
_cell_length_b 6.172
_cell_length_c 9.734
_cell_angle_alpha 90.48
_cell_angle_beta 90.31
_cell_angle_gamma 118.94
_space_group_name_H-M_alt 'P 1'
_space_group_IT_number 1
loop_
_space_group_symop_operation_xyz
'x,y,z'
loop_
_atom_site_label
_atom_site_type_symbol
_atom_site_fract_x
_atom_site_fract_y
_atom_site_fract_z
Li1 Li 0.000 0.000 0.000
Li2 Li 0.002 0.999 0.510
Li3 Li 0.330 0.630 0.410
Li4 Li 0.672 0.312 0.889
V1 V 0.363 0.658 0.990
V2 V 0.683 0.297 0.499
Cr1 Cr 0.179 0.319 0.724
Cr2 Cr 0.672 0.810 0.721
Cr3 Cr 0.837 0.148 0.221
Sb1 Sb 0.177 0.810 0.720
Sb2 Sb 0.350 0.151 0.223
Sb3 Sb 0.842 0.644 0.222
O1 O 0.012 0.983 0.818
O2 O 0.024 0.006 0.324
O3 O 0.055 0.510 0.847
O4 O 0.180 0.310 0.112
O5 O 0.189 0.841 0.102
O6 O 0.329 0.130 0.612
O7 O 0.340 0.642 0.615
O8 O 0.487 0.939 0.843
O9 O 0.494 0.508 0.843
O10 O 0.501 0.427 0.367
O11 O 0.525 0.008 0.342
O12 O 0.658 0.282 0.104
O13 O 0.683 0.839 0.097
O14 O 0.842 0.142 0.616
O15 O 0.857 0.663 0.607
O16 O 0.961 0.431 0.359
```

(2)
The following is a calculated powder XRD pattern of Li4TiMn5O12. It was derived from a structure optimized by DFT (PBE+U), using λ = 1.5418 Å (Cu Kα).

Top 10 peaks for 10 to 90 degrees two-theta, sorted by position:
2θ (°), I (rel.)
17.30, 100
33.95, 9
35.84, 13
36.15, 13
37.76, 9
38.92, 13
43.67, 17
44.46, 16
56.94, 10
58.03, 9

Cell and atoms:
```
data_Li4TiMn5O12
_cell_length_a 5.149
_cell_length_b 5.149
_cell_length_c 10.256
_cell_angle_alpha 91.07
_cell_angle_beta 91.07
_cell_angle_gamma 118.25
_space_group_name_H-M_alt 'P 1'
_space_group_IT_number 1
loop_
_space_group_symop_operation_xyz
'x,y,z'
loop_
_atom_site_label
_atom_site_type_symbol
_atom_site_fract_x
_atom_site_fract_y
_atom_site_fract_z
Li1 Li 0.139 0.642 0.749
Li2 Li 0.358 0.861 0.251
Li3 Li 0.642 0.139 0.749
Li4 Li 0.861 0.358 0.251
Ti1 Ti 0.000 0.000 0.500
Mn1 Mn 0.164 0.836 0.000
Mn2 Mn 0.335 0.665 0.500
Mn3 Mn 0.500 0.500 0.000
Mn4 Mn 0.665 0.335 0.500
Mn5 Mn 0.836 0.164 0.000
O1 O 0.035 0.693 0.390
O2 O 0.165 0.529 0.108
O3 O 0.169 0.169 0.909
O4 O 0.307 0.965 0.610
O5 O 0.324 0.324 0.407
O6 O 0.471 0.835 0.892
O7 O 0.529 0.165 0.108
O8 O 0.676 0.676 0.593
O9 O 0.693 0.035 0.390
O10 O 0.831 0.831 0.091
O11 O 0.835 0.471 0.892
O12 O 0.965 0.307 0.610
```

(3)
The following is a calculated powder XRD pattern of CaMoO3. It was derived from a structure optimized by DFT (PBE+U), using λ = 1.5418 Å (Cu Kα).

Top 10 peaks for 10 to 90 degrees two-theta, sorted by position:
2θ (°), I (rel.)
22.31, 74
22.47, 34
31.11, 50
31.75, 100
31.99, 94
32.40, 44
45.53, 55
45.86, 30
56.10, 30
57.54, 24

Cell and atoms:
```
data_CaMoO3
_cell_length_a 7.916
_cell_length_b 5.526
_cell_length_c 5.751
_cell_angle_alpha 90.00
_cell_angle_beta 90.62
_cell_angle_gamma 90.00
_space_group_name_H-M_alt 'P 1'
_space_group_IT_number 1
loop_
_space_group_symop_operation_xyz
'x,y,z'
loop_
_atom_site_label
_atom_site_type_symbol
_atom_site_fract_x
_atom_site_fract_y
_atom_site_fract_z
Ca1 Ca 0.246 0.012 0.449
Ca2 Ca 0.246 0.488 0.949
Ca3 Ca 0.754 0.512 0.051
Ca4 Ca 0.754 0.988 0.551
Mo1 Mo 0.000 0.000 0.000
Mo2 Mo 0.000 0.500 0.500
Mo3 Mo 0.500 0.000 0.000
Mo4 Mo 0.500 0.500 0.500
O1 O 0.049 0.197 0.689
O2 O 0.049 0.303 0.189
O3 O 0.250 0.600 0.542
O4 O 0.250 0.900 0.042
O5 O 0.444 0.195 0.705
O6 O 0.444 0.305 0.205
O7 O 0.556 0.695 0.795
O8 O 0.556 0.805 0.295
O9 O 0.750 0.100 0.958
O10 O 0.750 0.400 0.458
O11 O 0.951 0.697 0.811
O12 O 0.951 0.803 0.311
```

(4)
The following is a calculated powder XRD pattern of Ba2Cr3O7. It was derived from a structure optimized by DFT (PBE+U), using λ = 1.5418 Å (Cu Kα).

Top 10 peaks for 10 to 90 degrees two-theta, sorted by position:
2θ (°), I (rel.)
13.37, 46
27.09, 66
31.08, 100
33.39, 49
33.84, 23
47.84, 17
48.05, 20
48.28, 27
58.18, 17
61.07, 19

Cell and atoms:
```
data_Ba2Cr3O7
_cell_length_a 3.802
_cell_length_b 13.245
_cell_length_c 3.788
_cell_angle_alpha 90.00
_cell_angle_beta 90.00
_cell_angle_gamma 90.00
_space_group_name_H-M_alt 'P 1'
_space_group_IT_number 1
loop_
_space_group_symop_operation_xyz
'x,y,z'
loop_
_atom_site_label
_atom_site_type_symbol
_atom_site_fract_x
_atom_site_fract_y
_atom_site_fract_z
Ba1 Ba 0.000 0.194 0.000
Ba2 Ba 0.000 0.806 0.000
Cr1 Cr 0.500 0.000 0.491
Cr2 Cr 0.500 0.364 0.499
Cr3 Cr 0.500 0.636 0.499
O1 O 0.000 0.000 0.475
O2 O 0.000 0.354 0.499
O3 O 0.000 0.646 0.499
O4 O 0.500 0.143 0.501
O5 O 0.500 0.351 0.999
O6 O 0.500 0.649 0.999
O7 O 0.500 0.857 0.501
```

(5)
The following is a calculated powder XRD pattern of Pr2W3O12. It was derived from a structure optimized by DFT (PBE+U), using λ = 1.5418 Å (Cu Kα).

Top 10 peaks for 10 to 90 degrees two-theta, sorted by position:
2θ (°), I (rel.)
15.97, 16
17.98, 29
24.14, 29
26.95, 100
28.47, 70
30.26, 27
32.94, 17
33.08, 16
45.38, 36
45.44, 20

Cell and atoms:
```
data_Pr2W3O12
_cell_length_a 7.130
_cell_length_b 7.130
_cell_length_c 11.780
_cell_angle_alpha 100.82
_cell_angle_beta 100.82
_cell_angle_gamma 111.89
_space_group_name_H-M_alt 'P 1'
_space_group_IT_number 1
loop_
_space_group_symop_operation_xyz
'x,y,z'
loop_
_atom_site_label
_atom_site_type_symbol
_atom_site_fract_x
_atom_site_fract_y
_atom_site_fract_z
Pr1 Pr 0.053 0.306 0.094
Pr2 Pr 0.306 0.053 0.594
Pr3 Pr 0.694 0.947 0.406
Pr4 Pr 0.947 0.694 0.906
W1 W 0.118 0.882 0.250
W2 W 0.200 0.491 0.452
W3 W 0.491 0.200 0.952
W4 W 0.509 0.800 0.048
W5 W 0.800 0.509 0.548
W6 W 0.882 0.118 0.750
O1 O 0.014 0.600 0.219
O2 O 0.032 0.949 0.111
O3 O 0.051 0.968 0.389
O4 O 0.099 0.671 0.575
O5 O 0.203 0.352 0.305
O6 O 0.229 0.628 0.039
O7 O 0.324 0.394 0.557
O8 O 0.329 0.901 0.925
O9 O 0.352 0.203 0.805
O10 O 0.372 0.771 0.461
O11 O 0.394 0.324 0.057
O12 O 0.400 0.986 0.281
O13 O 0.600 0.014 0.719
O14 O 0.606 0.676 0.943
O15 O 0.628 0.229 0.539
O16 O 0.648 0.797 0.195
O17 O 0.671 0.099 0.075
O18 O 0.676 0.606 0.443
O19 O 0.771 0.372 0.961
O20 O 0.797 0.648 0.695
O21 O 0.901 0.329 0.425
O22 O 0.949 0.032 0.611
O23 O 0.968 0.051 0.889
O24 O 0.986 0.400 0.781
```

(6)
The following is a calculated powder XRD pattern of Li9Mn2Co5O16. It was derived from a structure optimized by DFT (PBE+U), using λ = 1.5418 Å (Cu Kα).

Top 10 peaks for 10 to 90 degrees two-theta, sorted by position:
2θ (°), I (rel.)
18.38, 100
35.12, 16
36.08, 13
36.63, 12
42.30, 30
43.78, 27
44.61, 25
62.48, 8
62.53, 8
63.34, 7

Cell and atoms:
```
data_Li9Mn2Co5O16
_cell_length_a 5.105
_cell_length_b 5.881
_cell_length_c 9.750
_cell_angle_alpha 87.18
_cell_angle_beta 79.21
_cell_angle_gamma 88.69
_space_group_name_H-M_alt 'P 1'
_space_group_IT_number 1
loop_
_space_group_symop_operation_xyz
'x,y,z'
loop_
_atom_site_label
_atom_site_type_symbol
_atom_site_fract_x
_atom_site_fract_y
_atom_site_fract_z
Li1 Li 0.000 0.000 0.000
Li2 Li 0.001 0.244 0.491
Li3 Li 0.006 0.757 0.494
Li4 Li 0.247 0.496 0.244
Li5 Li 0.253 0.003 0.248
Li6 Li 0.503 0.756 0.002
Li7 Li 0.514 0.248 0.003
Li8 Li 0.757 0.999 0.747
Li9 Li 0.764 0.509 0.753
Mn1 Mn 0.252 0.758 0.753
Mn2 Mn 0.254 0.254 0.753
Co1 Co 0.007 0.501 0.999
Co2 Co 0.507 0.007 0.495
Co3 Co 0.511 0.506 0.497
Co4 Co 0.757 0.749 0.242
Co5 Co 0.762 0.245 0.241
O1 O 0.090 0.725 0.117
O2 O 0.113 0.268 0.115
O3 O 0.136 0.986 0.628
O4 O 0.152 0.515 0.637
O5 O 0.359 0.525 0.880
O6 O 0.373 0.995 0.858
O7 O 0.394 0.250 0.380
O8 O 0.409 0.748 0.375
O9 O 0.601 0.759 0.624
O10 O 0.611 0.262 0.621
O11 O 0.633 0.986 0.136
O12 O 0.658 0.482 0.113
O13 O 0.864 0.507 0.363
O14 O 0.871 0.012 0.371
O15 O 0.910 0.739 0.874
O16 O 0.912 0.276 0.878
```

(7)
The following is a calculated powder XRD pattern of Rb3MnF7. It was derived from a structure optimized by DFT (PBE+U), using λ = 1.5418 Å (Cu Kα).

Top 10 peaks for 10 to 90 degrees two-theta, sorted by position:
2θ (°), I (rel.)
24.21, 17
26.28, 100
28.47, 22
29.79, 29
30.76, 43
34.50, 21
38.75, 42
43.35, 31
45.49, 16
50.78, 15

Cell and atoms:
```
data_Rb3MnF7
_cell_length_a 8.222
_cell_length_b 8.222
_cell_length_c 5.998
_cell_angle_alpha 90.00
_cell_angle_beta 90.00
_cell_angle_gamma 90.00
_space_group_name_H-M_alt 'P 1'
_space_group_IT_number 1
loop_
_space_group_symop_operation_xyz
'x,y,z'
loop_
_atom_site_label
_atom_site_type_symbol
_atom_site_fract_x
_atom_site_fract_y
_atom_site_fract_z
Rb1 Rb 0.000 0.000 0.000
Rb2 Rb 0.192 0.308 0.500
Rb3 Rb 0.308 0.808 0.500
Rb4 Rb 0.500 0.500 0.000
Rb5 Rb 0.692 0.192 0.500
Rb6 Rb 0.808 0.692 0.500
Mn1 Mn 0.000 0.500 0.000
Mn2 Mn 0.500 0.000 0.000
F1 F 0.000 0.000 0.500
F2 F 0.111 0.611 0.221
F3 F 0.111 0.611 0.779
F4 F 0.159 0.341 0.000
F5 F 0.341 0.841 0.000
F6 F 0.389 0.111 0.221
F7 F 0.389 0.111 0.779
F8 F 0.500 0.500 0.500
F9 F 0.611 0.889 0.221
F10 F 0.611 0.889 0.779
F11 F 0.659 0.159 0.000
F12 F 0.841 0.659 0.000
F13 F 0.889 0.389 0.221
F14 F 0.889 0.389 0.779
```